1.
For YZnPdO4, the GGA-PBE geometry in Alexandria gives the calculated X-ray powder pattern in this record (copper Kα).
No peak broadening, texture or thermal motion is included.

Top 8 peaks for 2θ = 5–70°, by angle:
2θ 16.82, rel. 54.1; 2θ 32.00, rel. 89.1; 2θ 32.56, rel. 100.0; 2θ 33.92, rel. 55.6; 2θ 34.06, rel. 64.7; 2θ 34.72, rel. 38.4; 2θ 38.90, rel. 48.0; 2θ 58.44, rel. 78.5

Structure:
```
YZnPdO4
1.0
-3.224 3.326 4.320
3.224 -3.326 4.320
3.224 3.326 -4.320
Y Zn Pd O
2 2 2 8
direct
0.000 0.000 0.000
0.500 0.000 0.500
0.361 0.611 0.750
0.639 0.389 0.250
0.000 0.000 0.500
0.000 0.500 0.000
0.216 0.737 0.479
0.242 0.229 0.487
0.242 0.754 0.013
0.243 0.263 0.979
0.757 0.737 0.021
0.758 0.246 0.987
0.758 0.771 0.513
0.784 0.263 0.521
```


2.
For TbPr2Sb2, the GGA-PBE geometry in Alexandria gives the calculated X-ray powder pattern in this record (copper Kα).
No peak broadening, texture or thermal motion is included.

Top 8 peaks for 2θ = 5–70°, by angle:
2θ 24.42, rel. 100.0; 2θ 30.64, rel. 80.6; 2θ 31.89, rel. 66.0; 2θ 34.82, rel. 67.0; 2θ 36.33, rel. 51.2; 2θ 37.29, rel. 61.2; 2θ 41.11, rel. 77.4; 2θ 48.08, rel. 63.2

Structure:
```
TbPr2Sb2
1.0
-4.328 6.027 3.207
4.328 -6.027 3.207
4.328 6.027 -3.207
Tb Pr Sb
2 4 4
direct
0.250 0.250 0.000
0.750 0.750 0.000
0.151 0.642 0.793
0.349 0.142 0.491
0.651 0.858 0.509
0.849 0.358 0.207
0.108 0.276 0.384
0.392 0.776 0.168
0.608 0.224 0.832
0.892 0.724 0.616
```


3.
For Cd4Ag5Pd2, the GGA-PBE geometry in Alexandria gives the calculated X-ray powder pattern in this record (copper Kα).
No peak broadening, texture or thermal motion is included.

Top 8 peaks for 2θ = 5–70°, by angle:
2θ 36.80, rel. 49.7; 2θ 37.03, rel. 100.0; 2θ 37.69, rel. 46.4; 2θ 42.37, rel. 33.7; 2θ 43.53, rel. 61.1; 2θ 61.76, rel. 20.5; 2θ 62.97, rel. 29.2; 2θ 63.56, rel. 8.8

Structure:
```
Cd4Ag5Pd2
1.0
7.576 -1.476 0.000
7.576 1.476 0.000
-0.608 0.000 9.072
Cd Ag Pd
4 5 2
direct
0.175 0.175 0.412
0.276 0.276 0.864
0.724 0.724 0.136
0.825 0.825 0.588
0.000 0.000 0.500
0.086 0.086 0.953
0.368 0.368 0.311
0.632 0.632 0.689
0.914 0.914 0.047
0.452 0.452 0.772
0.548 0.548 0.228
```


4.
For Tb4YIr5, the GGA-PBE geometry in Alexandria gives the calculated X-ray powder pattern in this record (copper Kα).
No peak broadening, texture or thermal motion is included.

Top 8 peaks for 2θ = 5–70°, by angle:
2θ 24.86, rel. 1.2; 2θ 26.44, rel. 2.0; 2θ 36.60, rel. 100.0; 2θ 37.73, rel. 46.0; 2θ 50.99, rel. 9.8; 2θ 54.43, rel. 16.1; 2θ 65.14, rel. 18.8; 2θ 67.39, rel. 34.0

Structure:
```
Tb4YIr5
1.0
3.371 0.000 0.000
0.000 3.371 0.000
0.000 0.000 17.911
Tb Y Ir
4 1 5
direct
0.000 0.000 0.100
0.000 0.000 0.300
0.000 0.000 0.700
0.000 0.000 0.900
0.000 0.000 0.500
0.500 0.500 0.000
0.500 0.500 0.200
0.500 0.500 0.400
0.500 0.500 0.600
0.500 0.500 0.800
```


5.
For Be17SiTc, the GGA-PBE geometry in Alexandria gives the calculated X-ray powder pattern in this record (copper Kα).
No peak broadening, texture or thermal motion is included.

Top 8 peaks for 2θ = 5–70°, by angle:
2θ 16.32, rel. 100.0; 2θ 21.58, rel. 26.3; 2θ 24.66, rel. 45.3; 2θ 29.72, rel. 26.2; 2θ 34.96, rel. 36.4; 2θ 35.82, rel. 26.5; 2θ 38.99, rel. 23.9; 2θ 50.42, rel. 26.8

Structure:
```
Be17SiTc
1.0
3.610 2.084 3.649
-3.610 2.084 3.649
0.000 -4.169 3.649
Be Si Tc
17 1 1
direct
0.057 0.057 0.057
0.150 0.150 0.658
0.150 0.658 0.150
0.160 0.464 0.846
0.160 0.846 0.464
0.255 0.255 0.255
0.314 0.820 0.820
0.464 0.160 0.846
0.464 0.846 0.160
0.502 0.502 0.996
0.502 0.996 0.502
0.658 0.150 0.150
0.820 0.314 0.820
0.820 0.820 0.314
0.846 0.160 0.464
0.846 0.464 0.160
0.996 0.502 0.502
0.567 0.567 0.567
0.822 0.822 0.822
```


6.
For Ac6Co2Au, the GGA-PBE geometry in Alexandria gives the calculated X-ray powder pattern in this record (copper Kα).
No peak broadening, texture or thermal motion is included.

Top 8 peaks for 2θ = 5–70°, by angle:
2θ 12.73, rel. 17.6; 2θ 25.61, rel. 13.4; 2θ 27.00, rel. 100.0; 2θ 35.18, rel. 38.6; 2θ 41.69, rel. 30.0; 2θ 46.01, rel. 26.3; 2θ 50.37, rel. 16.6; 2θ 67.37, rel. 13.1

Structure:
```
Ac6Co2Au
1.0
7.505 0.000 0.000
-3.753 6.500 0.000
0.000 0.000 6.956
Ac Co Au
6 2 1
direct
0.000 0.358 0.270
0.000 0.642 0.730
0.358 0.000 0.270
0.358 0.358 0.730
0.642 0.000 0.730
0.642 0.642 0.270
0.333 0.667 0.500
0.667 0.333 0.500
0.000 0.000 0.500
```


7.
For Sc3TaC4, the GGA-PBE geometry in Alexandria gives the calculated X-ray powder pattern in this record (copper Kα).
No peak broadening, texture or thermal motion is included.

Top 8 peaks for 2θ = 5–70°, by angle:
2θ 13.61, rel. 34.0; 2θ 16.61, rel. 45.7; 2θ 21.56, rel. 49.6; 2θ 33.70, rel. 100.0; 2θ 38.99, rel. 37.8; 2θ 39.11, rel. 75.0; 2θ 56.36, rel. 35.9; 2θ 56.54, rel. 35.6

Structure:
```
Sc3TaC4
1.0
5.666 0.000 0.000
0.000 6.505 0.000
-1.890 0.000 5.318
Sc Ta C
6 2 8
direct
0.000 0.124 0.250
0.000 0.375 0.750
0.000 0.625 0.250
0.000 0.876 0.750
0.500 0.375 0.250
0.500 0.625 0.750
0.500 0.127 0.750
0.500 0.873 0.250
0.256 0.364 0.511
0.256 0.636 0.011
0.265 0.118 0.998
0.265 0.882 0.498
0.735 0.118 0.502
0.735 0.882 0.002
0.744 0.364 0.989
0.744 0.636 0.489
```


8.
For Tl10Hg3Au3, the GGA-PBE geometry in Alexandria gives the calculated X-ray powder pattern in this record (copper Kα).
No peak broadening, texture or thermal motion is included.

Top 8 peaks for 2θ = 5–70°, by angle:
2θ 26.64, rel. 21.7; 2θ 30.88, rel. 29.1; 2θ 33.58, rel. 78.1; 2θ 33.72, rel. 100.0; 2θ 35.14, rel. 37.1; 2θ 51.72, rel. 30.9; 2θ 54.89, rel. 19.5; 2θ 67.19, rel. 17.6

Structure:
```
Tl10Hg3Au3
1.0
8.848 0.000 0.000
-4.424 7.662 0.000
0.000 0.000 6.693
Tl Hg Au
10 3 3
direct
0.000 0.234 0.000
0.000 0.749 0.500
0.234 0.000 0.000
0.251 0.251 0.500
0.333 0.667 0.263
0.333 0.667 0.737
0.667 0.333 0.263
0.667 0.333 0.737
0.749 0.000 0.500
0.766 0.766 0.000
0.000 0.590 0.000
0.410 0.410 0.000
0.590 0.000 0.000
0.000 0.390 0.500
0.390 0.000 0.500
0.610 0.610 0.500
```


9.
For Li2Pr2IrO6, the GGA-PBE geometry in Alexandria gives the calculated X-ray powder pattern in this record (copper Kα).
No peak broadening, texture or thermal motion is included.

Top 8 peaks for 2θ = 5–70°, by angle:
2θ 19.16, rel. 100.0; 2θ 29.89, rel. 60.8; 2θ 31.86, rel. 93.1; 2θ 34.87, rel. 65.5; 2θ 44.24, rel. 39.5; 2θ 47.95, rel. 31.5; 2θ 58.72, rel. 33.8; 2θ 64.51, rel. 24.8

Structure:
```
Li2Pr2IrO6
1.0
2.809 1.622 5.053
-2.809 1.622 5.053
0.000 -3.243 5.053
Li Pr Ir O
2 2 1 6
direct
0.074 0.074 0.074
0.926 0.926 0.926
0.284 0.284 0.284
0.716 0.716 0.716
0.500 0.500 0.500
0.257 0.257 0.716
0.257 0.716 0.257
0.284 0.743 0.743
0.716 0.257 0.257
0.743 0.284 0.743
0.743 0.743 0.284
```


10.
For Ca2In2Au, the GGA-PBE geometry in Alexandria gives the calculated X-ray powder pattern in this record (copper Kα).
No peak broadening, texture or thermal motion is included.

Top 8 peaks for 2θ = 5–70°, by angle:
2θ 18.09, rel. 100.0; 2θ 24.81, rel. 22.8; 2θ 30.13, rel. 42.1; 2θ 32.49, rel. 94.1; 2θ 36.66, rel. 39.5; 2θ 38.19, rel. 72.0; 2θ 42.57, rel. 65.1; 2θ 53.98, rel. 52.1

Structure:
```
Ca2In2Au
1.0
7.452 0.000 0.000
0.000 7.452 0.000
0.000 0.000 4.903
Ca In Au
4 4 2
direct
0.170 0.330 0.000
0.330 0.830 0.000
0.670 0.170 0.000
0.830 0.670 0.000
0.138 0.638 0.500
0.362 0.138 0.500
0.638 0.862 0.500
0.862 0.362 0.500
0.000 0.000 0.500
0.500 0.500 0.500
```


11.
For AgH3Pt2, the GGA-PBE geometry in Alexandria gives the calculated X-ray powder pattern in this record (copper Kα).
No peak broadening, texture or thermal motion is included.

Top 8 peaks for 2θ = 5–70°, by angle:
2θ 33.05, rel. 34.0; 2θ 35.54, rel. 42.1; 2θ 37.69, rel. 100.0; 2θ 38.12, rel. 25.5; 2θ 38.32, rel. 67.2; 2θ 39.70, rel. 51.3; 2θ 40.75, rel. 35.9; 2θ 63.82, rel. 27.7

Structure:
```
AgH3Pt2
1.0
2.919 0.000 0.000
1.450 6.037 0.000
1.442 2.525 7.160
Ag H Pt
2 6 4
direct
0.128 0.276 0.473
0.872 0.724 0.527
0.132 0.663 0.071
0.294 0.605 0.812
0.321 0.043 0.305
0.679 0.957 0.695
0.706 0.395 0.188
0.868 0.337 0.929
0.144 0.893 0.831
0.438 0.326 0.796
0.562 0.674 0.204
0.856 0.107 0.169
```


12.
For PaTaHgO6, the GGA-PBE geometry in Alexandria gives the calculated X-ray powder pattern in this record (copper Kα).
No peak broadening, texture or thermal motion is included.

Top 8 peaks for 2θ = 5–70°, by angle:
2θ 18.51, rel. 11.5; 2θ 25.96, rel. 100.0; 2θ 31.52, rel. 58.0; 2θ 41.27, rel. 29.0; 2θ 49.79, rel. 44.4; 2θ 52.84, rel. 29.3; 2θ 56.12, rel. 17.1; 2θ 69.48, rel. 12.1

Structure:
```
PaTaHgO6
1.0
5.677 0.000 0.000
-2.838 4.916 0.000
0.000 0.000 9.587
Pa Ta Hg O
2 2 2 12
direct
0.333 0.667 0.250
0.667 0.333 0.750
0.333 0.667 0.750
0.667 0.333 0.250
0.000 0.000 0.000
0.000 0.000 0.500
0.023 0.377 0.639
0.023 0.646 0.861
0.354 0.377 0.861
0.354 0.977 0.639
0.377 0.023 0.139
0.377 0.354 0.361
0.623 0.646 0.639
0.623 0.977 0.861
0.646 0.023 0.361
0.646 0.623 0.139
0.977 0.354 0.139
0.977 0.623 0.361
```


13.
For ZrNiW2, the GGA-PBE geometry in Alexandria gives the calculated X-ray powder pattern in this record (copper Kα).
No peak broadening, texture or thermal motion is included.

Top 8 peaks for 2θ = 5–70°, by angle:
2θ 18.61, rel. 51.5; 2θ 37.73, rel. 60.3; 2θ 39.68, rel. 51.4; 2θ 40.09, rel. 100.0; 2θ 40.87, rel. 96.5; 2θ 55.91, rel. 37.7; 2θ 61.19, rel. 14.4; 2θ 69.71, rel. 19.3

Structure:
```
ZrNiW2
1.0
2.763 0.000 0.000
0.000 4.768 0.000
-0.688 0.000 4.982
Zr Ni W
1 1 2
direct
0.000 0.000 0.000
0.500 0.000 0.500
0.276 0.500 0.750
0.724 0.500 0.250
```